Starting from a cell relaxed with GGA-PBE, the powder X-ray diffraction pattern of La8Dy3 was computed for a wavelength of 1.5418 Å.

Cell and atoms:
Cell: 6.390 6.390 13.279 Å, 103.61 103.61 47.96°
Positions (direct):
La1 0.047 0.047 0.318
La2 0.137 0.137 0.954
La3 0.227 0.227 0.589
La4 0.320 0.320 0.227
La5 0.680 0.680 0.773
La6 0.773 0.773 0.411
La7 0.863 0.863 0.046
La8 0.953 0.953 0.682
Dy1 0.408 0.408 0.866
Dy2 0.500 0.500 0.500
Dy3 0.592 0.592 0.134

Main lines, sorted by position (2θ = 10–80°):
- 29.7 deg, I 100
- 34.3 deg, I 17
- 34.5 deg, I 34
- 49.3 deg, I 6
- 49.5 deg, I 18
- 49.6 deg, I 12
- 58.5 deg, I 7
- 58.6 deg, I 7
- 58.8 deg, I 7
- 58.9 deg, I 21
- 61.6 deg, I 6
- 61.7 deg, I 6